Calculated X-ray diffraction stick pattern
Compound: TlVOs2O8
Radiation: Cu Kα X-rays
Structure: a crystal structure in Alexandria, relaxed with GGA+U
Intensities are scaled so that the largest is 100.

abc: 5.4350 5.4350 8.1850
angles: 90.00 90.00 120.00
Sites, in units of the cell vectors:
Tl1 0.0000 0.0000 0.0000
V1 0.0000 0.0000 0.5000
Os1 0.3333 0.6667 0.7146
Os2 0.6667 0.3333 0.2854
O1 0.0461 0.3226 0.6493
O2 0.2766 0.9539 0.6493
O3 0.3226 0.2766 0.3507
O4 0.3333 0.6667 0.9317
O5 0.6667 0.3333 0.0683
O6 0.6774 0.7234 0.6493
O7 0.7234 0.0461 0.3507
O8 0.9539 0.6774 0.3507

Top 12 peaks for 2θ from 10° to 90°, by intensity:
two_theta	intensity	hkl
21.8	100.0	1 0 1
28.9	62.5	0 1 2
33.0	46.3	1 1 0
39.9	20.0	0 2 1
56.4	19.9	3 -2 2
44.4	19.7	2 0 2
52.6	19.1	2 1 1
56.3	14.7	1 1 4
58.9	11.9	3 0 0
69.1	11.7	2 2 0
47.2	11.5	1 1 3
59.8	10.1	1 0 5